This entry pairs a crystal structure of Ca9O2F14 with its simulated PXRD pattern. Radiation: Cu Kα X-rays. Structure: a crystal structure in Alexandria, relaxed with PBE.
No peak broadening, texture or thermal motion is included.

Most intense lines, 2θ = 10–80°, sorted by position:
2θ 17.8, d 4.992, intensity 13, (0 1 1); 2θ 27.9, d 3.197, intensity 100, (2 -1 1); 2θ 28.4, d 3.139, intensity 35, (0 0 3); 2θ 41.7, d 2.165, intensity 17, (3 -2 1); 2θ 46.3, d 1.962, intensity 56, (3 0 0); 2θ 46.9, d 1.935, intensity 63, (2 -1 4); 2θ 55.2, d 1.664, intensity 20, (0 3 3); 2θ 68.0, d 1.378, intensity 12, (2 2 4)

Structure:
a b c (Å): 6.7968 6.7968 9.4180
angles (deg): 90.00 90.00 120.00
Fractional positions:
Ca 0.0000 0.0000 0.0000
Ca 0.0474 0.3501 0.3383
Ca 0.3027 0.9526 0.3383
Ca 0.3333 0.6667 0.0259
Ca 0.3501 0.3027 0.6617
Ca 0.6499 0.6973 0.3383
Ca 0.6667 0.3333 0.9741
Ca 0.6973 0.0474 0.6617
Ca 0.9526 0.6499 0.6617
O 0.3333 0.6667 0.2570
O 0.6667 0.3333 0.7430
F 0.0000 0.0000 0.2554
F 0.0000 0.0000 0.7446
F 0.0452 0.6888 0.9084
F 0.0621 0.3764 0.5905
F 0.3112 0.3564 0.9084
F 0.3143 0.9379 0.5905
F 0.3564 0.0452 0.0916
F 0.3764 0.3143 0.4095
F 0.6236 0.6857 0.5905
F 0.6436 0.9548 0.9084
F 0.6857 0.0621 0.4095
F 0.6888 0.6436 0.0916
F 0.9379 0.6236 0.4095
F 0.9548 0.3112 0.0916